# 1
This entry pairs a crystal structure of Li6Ta2O7 with its computed X-ray powder pattern. Radiation: Cu Kα, 1.54184 Å. Structure: a crystal structure in OQMD, relaxed with PBE.
Kinematic intensities with the Lorentz-polarization factor, no thermal factor.

Top 10 peaks for 2θ from 10° to 90°, most intense first:
| 2theta | Rel. int. |
| --- | --- |
| 15.78 | 100.0 |
| 17.37 | 45.6 |
| 23.75 | 29.7 |
| 22.64 | 26.2 |
| 30.75 | 22.2 |
| 42.09 | 22.2 |
| 36.19 | 20.2 |
| 43.90 | 18.8 |
| 43.69 | 16.1 |
| 29.32 | 16.1 |

Cell and atoms:
```
Li6Ta2O7
1.0
5.126 0.000 0.000
1.154 5.106 0.000
1.835 -0.096 5.617
Li Ta O
6 2 7
Cartesian
2.000 1.832 1.780 Li
3.190 1.855 4.710 Li
3.345 4.632 3.087 Li
4.770 0.378 2.530 Li
4.924 3.155 0.907 Li
6.114 3.178 3.837 Li
2.291 4.445 0.350 Ta
5.823 0.566 5.267 Ta
1.612 3.782 2.029 O
2.563 3.701 4.785 O
3.963 -0.034 4.312 O
3.140 2.553 0.000 O
4.151 5.045 1.305 O
5.551 1.310 0.832 O
6.502 1.229 3.588 O
```

# 2
This entry pairs a crystal structure of LiTaO3 with its computed X-ray powder pattern. Radiation: Cu Kα, 1.54184 Å. Structure: a crystal structure in OQMD, relaxed with PBE.
Kinematic intensities with the Lorentz-polarization factor, no thermal factor.

Top 10 peaks for 2θ from 10° to 90°, most intense first:
| 2theta | Rel. int. |
| --- | --- |
| 20.68 | 100.0 |
| 18.90 | 97.2 |
| 39.58 | 89.2 |
| 32.25 | 64.4 |
| 34.45 | 61.0 |
| 52.49 | 35.5 |
| 61.75 | 35.4 |
| 47.91 | 25.7 |
| 60.33 | 24.4 |
| 72.68 | 24.3 |

Cell and atoms:
```
LiTaO3
1.0
2.603 1.503 4.695
-2.603 1.503 4.695
0.000 -3.006 4.695
Li Ta O
2 2 6
Cartesian
0.000 0.000 2.011 Li
0.000 0.000 12.075 Li
0.000 0.000 4.969 Ta
0.000 0.000 9.117 Ta
-1.714 -0.198 5.807 O
-0.686 -1.584 8.279 O
1.029 -1.386 5.807 O
-1.029 1.386 8.279 O
0.686 1.584 5.807 O
1.714 0.198 8.279 O
```

# 3
This entry pairs a crystal structure of Li3TaO4 with its computed X-ray powder pattern. Radiation: Cu Kα, 1.54184 Å. Structure: a crystal structure in OQMD, relaxed with PBE.
Kinematic intensities with the Lorentz-polarization factor, no thermal factor.

Top 10 peaks for 2θ from 10° to 90°, most intense first:
| 2theta | Rel. int. |
| --- | --- |
| 17.80 | 100.0 |
| 18.62 | 94.8 |
| 23.02 | 59.4 |
| 30.87 | 51.0 |
| 42.55 | 46.6 |
| 34.84 | 36.5 |
| 28.45 | 31.4 |
| 41.09 | 23.2 |
| 44.35 | 20.4 |
| 36.85 | 17.5 |

Cell and atoms:
```
Li3TaO4
1.0
9.736 0.000 0.000
0.000 3.041 0.000
-1.046 0.000 4.984
Li Ta O
6 2 8
Cartesian
0.000 0.000 0.000 Li
2.201 1.520 1.057 Li
1.621 0.000 3.927 Li
4.868 1.520 0.000 Li
7.069 0.000 1.057 Li
6.489 1.520 3.927 Li
-0.523 1.520 2.492 Ta
4.345 0.000 2.492 Ta
0.712 0.000 1.941 O
0.269 1.520 4.271 O
3.553 0.000 0.713 O
3.110 1.520 3.043 O
5.580 1.520 1.941 O
5.137 0.000 4.271 O
8.421 1.520 0.713 O
7.978 0.000 3.043 O
```

# 4
This entry pairs a crystal structure of Li4Ta2O5 with its computed X-ray powder pattern. Radiation: Cu Kα, 1.54184 Å. Structure: a crystal structure in OQMD, relaxed with PBE.
Kinematic intensities with the Lorentz-polarization factor, no thermal factor.

Top 10 peaks for 2θ from 10° to 90°, most intense first:
| 2theta | Rel. int. |
| --- | --- |
| 21.55 | 100.0 |
| 14.19 | 77.7 |
| 30.26 | 70.5 |
| 37.46 | 64.6 |
| 22.37 | 45.5 |
| 54.26 | 28.5 |
| 25.89 | 26.0 |
| 43.16 | 25.8 |
| 31.26 | 25.6 |
| 43.91 | 24.5 |

Cell and atoms:
```
Li4Ta2O5
1.0
2.096 -6.242 0.000
2.096 6.242 0.000
0.000 0.000 4.124
Li Ta O
4 2 5
Cartesian
0.000 0.000 0.000 Li
2.096 4.157 2.062 Li
2.096 0.000 2.062 Li
2.096 -4.157 2.062 Li
2.096 2.127 0.000 Ta
2.096 -2.127 0.000 Ta
2.096 4.322 0.000 O
2.096 2.072 2.062 O
2.096 0.000 0.000 O
2.096 -2.072 2.062 O
2.096 -4.322 0.000 O
```

# 5
This entry pairs a crystal structure of Li3TaO4 with its computed X-ray powder pattern. Radiation: Cu Kα, 1.54184 Å. Structure: a crystal structure in OQMD, relaxed with PBE.
Kinematic intensities with the Lorentz-polarization factor, no thermal factor.

Top 10 peaks for 2θ from 10° to 90°, most intense first:
| 2theta | Rel. int. |
| --- | --- |
| 23.62 | 100.0 |
| 15.75 | 93.0 |
| 21.90 | 82.1 |
| 33.94 | 49.2 |
| 42.75 | 39.3 |
| 30.87 | 34.7 |
| 37.08 | 30.0 |
| 49.41 | 24.8 |
| 38.96 | 23.5 |
| 62.81 | 22.8 |

Cell and atoms:
```
Li3TaO4
1.0
4.229 -4.232 0.000
4.229 4.232 0.000
-4.221 0.000 8.280
Li Ta O
12 4 16
Cartesian
0.169 3.340 7.246 Li
-2.162 1.002 7.319 Li
1.957 3.340 5.173 Li
0.010 1.044 5.258 Li
-0.051 -1.002 3.180 Li
2.120 -1.044 1.118 Li
2.116 1.044 7.162 Li
4.287 1.002 5.100 Li
4.226 -1.044 3.022 Li
2.279 -3.340 3.106 Li
6.398 -1.002 0.960 Li
4.067 -3.340 1.034 Li
1.974 1.200 3.106 Ta
4.373 1.200 1.034 Ta
-0.137 -1.200 7.246 Ta
2.262 -1.200 5.174 Ta
0.086 1.067 3.057 O
2.104 3.091 3.149 O
4.243 3.091 0.991 O
2.232 1.051 1.128 O
-2.025 -1.067 7.197 O
-0.009 0.942 7.338 O
2.134 0.942 5.082 O
0.121 -1.051 5.268 O
4.115 1.051 3.012 O
2.102 -0.942 3.198 O
4.245 -0.942 0.942 O
6.261 1.067 1.083 O
2.004 -1.051 7.152 O
-0.007 -3.091 7.289 O
2.132 -3.091 5.131 O
4.150 -1.067 5.222 O
```

# 6
This entry pairs a crystal structure of Li6TaTlO6 with its computed X-ray powder pattern. Radiation: Cu Kα, 1.54184 Å. Structure: a crystal structure in OQMD, relaxed with PBE.
Kinematic intensities with the Lorentz-polarization factor, no thermal factor.

Top 10 peaks for 2θ from 10° to 90°, most intense first:
| 2theta | Rel. int. |
| --- | --- |
| 21.57 | 100.0 |
| 27.60 | 59.9 |
| 41.74 | 54.7 |
| 35.30 | 25.7 |
| 37.82 | 25.0 |
| 43.95 | 18.2 |
| 52.69 | 17.7 |
| 61.66 | 16.9 |
| 59.34 | 14.1 |
| 62.22 | 12.4 |

Cell and atoms:
```
Li6TaTlO6
1.0
4.121 2.379 2.416
-4.121 2.379 2.416
0.000 -4.758 2.416
Li Ta Tl O
6 1 1 6
Cartesian
-1.421 -2.296 2.416 Li
-2.699 -0.083 2.416 Li
1.421 -2.296 2.416 Li
-1.278 2.379 2.416 Li
2.699 -0.083 2.416 Li
1.278 2.379 2.416 Li
0.000 0.000 0.000 Ta
0.000 0.000 3.624 Tl
-2.660 -1.536 3.724 O
0.000 -3.072 3.525 O
-2.660 1.536 3.525 O
2.660 -1.536 3.724 O
0.000 3.072 3.724 O
2.660 1.536 3.525 O
```

# 7
This entry pairs a crystal structure of Li7TbO6 with its computed X-ray powder pattern. Radiation: Cu Kα, 1.54184 Å. Structure: a crystal structure in OQMD, relaxed with PBE.
Kinematic intensities with the Lorentz-polarization factor, no thermal factor.

Top 10 peaks for 2θ from 10° to 90°, most intense first:
| 2theta | Rel. int. |
| --- | --- |
| 19.05 | 100.0 |
| 21.48 | 78.5 |
| 36.26 | 55.5 |
| 47.61 | 31.7 |
| 29.33 | 31.2 |
| 17.07 | 29.2 |
| 34.14 | 22.8 |
| 37.28 | 16.5 |
| 49.75 | 16.0 |
| 50.84 | 15.3 |

Cell and atoms:
```
Li7TbO6
1.0
2.819 1.628 5.193
-2.819 1.628 5.193
0.000 -3.255 5.193
Li Tb O
7 1 6
Cartesian
0.000 0.000 0.000 Li
-2.118 -0.069 7.288 Li
-0.820 -1.379 8.790 Li
1.119 -1.800 7.288 Li
-0.784 1.400 8.790 Li
1.000 1.869 7.288 Li
1.604 -0.021 8.790 Li
0.000 0.000 5.449 Tb
-0.784 -1.534 6.848 O
-2.090 -0.027 9.279 O
-0.936 1.446 6.848 O
1.068 -1.797 9.279 O
1.720 0.088 6.848 O
1.022 1.823 9.279 O
```

# 8
This entry pairs a crystal structure of Li4Tb2O5 with its computed X-ray powder pattern. Radiation: Cu Kα, 1.54184 Å. Structure: a crystal structure in OQMD, relaxed with PBE.
Kinematic intensities with the Lorentz-polarization factor, no thermal factor.

Top 10 peaks for 2θ from 10° to 90°, most intense first:
| 2theta | Rel. int. |
| --- | --- |
| 19.78 | 100.0 |
| 27.93 | 66.6 |
| 20.76 | 60.0 |
| 34.46 | 58.6 |
| 13.04 | 47.5 |
| 28.83 | 32.3 |
| 49.64 | 28.2 |
| 40.00 | 27.5 |
| 40.17 | 27.1 |
| 39.82 | 25.2 |

Cell and atoms:
```
Li4Tb2O5
1.0
2.254 -6.791 0.000
2.254 6.791 0.000
0.000 0.000 4.489
Li Tb O
4 2 5
Cartesian
0.000 0.000 0.000 Li
2.254 4.238 2.245 Li
2.254 0.000 2.245 Li
2.254 -4.238 2.245 Li
2.254 2.151 0.000 Tb
2.254 -2.151 0.000 Tb
2.254 4.557 0.000 O
2.254 2.142 2.245 O
2.254 0.000 0.000 O
2.254 -2.142 2.245 O
2.254 -4.557 0.000 O
```